# 1
This entry pairs a crystal structure of PrEr3 with its computed powder XRD pattern. Radiation: Cu Kα (λ = 1.5418 Å). Structure: DFT lattice parameters and positions (GGA-PBE).
No peak broadening, texture or thermal motion is included.

Atomic structure:
```
4
Lattice="5.040 0.000 0.000 0.000 5.040 0.000 0.000 0.000 5.040" Properties=species:S:1:pos:R:3 pbc="T T T"
Pr 0.000 0.000 0.000
Er 0.000 2.520 2.520
Er 2.520 0.000 2.520
Er 2.520 2.520 0.000
```

The 8 most intense peaks (2θ from 15° to 90°), by angle:
2θ/deg, I (rel.), hkl
30.73, 100, 1 1 1
35.63, 51, 2 0 0
51.27, 36, 2 2 0
60.97, 43, 3 1 1
63.99, 12, 2 2 2
75.45, 6, 4 0 0
83.63, 18, 3 3 1
86.33, 17, 4 2 0

# 2
This entry pairs a crystal structure of InBiO3 with its computed powder XRD pattern. Radiation: Cu Kα (λ = 1.5418 Å). Structure: DFT lattice parameters and positions (GGA-PBE).
No peak broadening, texture or thermal motion is included.

Atomic structure:
```
20
Lattice="6.055 0.000 0.000 0.000 5.710 0.000 0.000 0.000 8.418" Properties=species:S:1:pos:R:3 pbc="T T T"
In 0.004 5.708 0.000
In 3.024 2.852 4.209
In 3.031 2.858 0.000
In 6.051 0.003 4.209
Bi 0.370 2.846 1.870
Bi 2.657 5.701 6.080
Bi 3.398 0.010 1.870
Bi 5.684 2.865 6.080
O 0.308 5.046 6.378
O 0.980 1.946 8.303
O 1.254 1.726 4.885
O 1.774 4.581 0.676
O 2.047 4.802 4.094
O 2.719 2.191 2.168
O 3.335 3.519 6.378
O 4.008 0.909 8.303
O 4.281 1.129 4.885
O 4.801 3.985 0.676
O 5.075 3.764 4.094
O 5.747 0.664 2.168
```

The 8 most intense peaks (2θ from 15° to 90°), by angle:
2θ/deg, I (rel.), hkl
23.89, 13, 1 1 1
29.51, 21, 2 0 0
30.23, 100, 1 1 2
31.35, 35, 0 2 0
42.98, 12, 0 0 4
43.57, 18, 2 2 0
49.08, 13, 3 1 1
55.07, 28, 1 3 2

# 3
This entry pairs a crystal structure of MgZn2 with its computed powder XRD pattern. Radiation: Cu Kα (λ = 1.5418 Å). Structure: DFT lattice parameters and positions (GGA-PBE).
No peak broadening, texture or thermal motion is included.

Atomic structure:
```
12
Lattice="8.816 0.000 0.000 0.000 4.810 0.000 -3.239 0.000 4.818" Properties=species:S:1:pos:R:3 pbc="T T T"
Mg -0.810 0.410 1.204
Mg -2.430 4.400 3.613
Mg 1.979 1.995 3.613
Mg 3.598 2.815 1.204
Zn -0.935 2.006 3.556
Zn 0.685 2.804 1.148
Zn 2.104 0.399 1.261
Zn 0.484 4.411 3.670
Zn 5.093 0.399 1.148
Zn 3.473 4.411 3.556
Zn 4.892 2.006 3.670
Zn 6.512 2.804 1.261
```

The 8 most intense peaks (2θ from 15° to 90°), by angle:
2θ/deg, I (rel.), hkl
22.12, 36, 1 1 0
35.86, 45, 3 1 -1
37.34, 99, 0 0 2
39.67, 100, 3 1 -2
41.52, 89, 3 1 0
41.99, 85, 0 2 1
66.46, 27, 3 3 -1
67.61, 18, 3 1 -4